The following is a computed X-ray powder pattern of Sm5Fe2Hg2. It was derived from a crystal structure in Alexandria, relaxed with PBE, using Cu Kα X-rays.

Principal peaks in the range 10° ≤ 2θ ≤ 80°, in order of falling intensity:
Position (°2θ)  intensity
32.24  100
31.96  100
33.90  74
31.63  56
34.42  49
59.25  39
31.07  36
38.20  29

Crystal structure
abc: 9.1545 9.1545 7.5364
angles: 90.00 90.00 47.84
Atoms (fractional coordinates):
Sm: 0.0000 0.0000 0.0000
Sm: 0.0583 0.6933 0.6813
Sm: 0.1933 0.5583 0.1813
Sm: 0.3067 0.9417 0.6813
Sm: 0.4417 0.8067 0.1813
Sm: 0.5000 0.5000 0.5000
Sm: 0.5583 0.1933 0.8187
Sm: 0.6933 0.0583 0.3187
Sm: 0.8067 0.4417 0.8187
Sm: 0.9417 0.3067 0.3187
Fe: 0.1017 0.8983 0.3947
Fe: 0.3983 0.6017 0.8947
Fe: 0.6017 0.3983 0.1053
Fe: 0.8983 0.1017 0.6053
Hg: 0.2220 0.2220 0.0000
Hg: 0.2780 0.2780 0.5000
Hg: 0.7220 0.7220 0.5000
Hg: 0.7780 0.7780 0.0000